Record 1
For Cs2TeOF4, the GGA-PBE geometry in the Materials Project gives the theoretical XRD peak list in this record (Cu Kα).
Neutral-atom scattering factors, no anomalous dispersion.

```
data_Cs2TeOF4
_space_group_name_H-M_alt 'P 1'
_space_group_IT_number 1
_cell_length_a 8.2759
_cell_length_b 8.2759
_cell_length_c 7.3264
_cell_angle_alpha 90.00
_cell_angle_beta 90.00
_cell_angle_gamma 131.35
loop_
_space_group_symop_operation_xyz
'x,y,z'
loop_
_atom_site_label
_atom_site_fract_x
_atom_site_fract_y
_atom_site_fract_z
Cs1 0.0642 0.9358 0.7500
Cs2 0.2564 0.7436 0.2500
Cs3 0.7436 0.2564 0.7500
Cs4 0.9358 0.0642 0.2500
Te1 0.3906 0.6094 0.7500
Te2 0.6094 0.3906 0.2500
O1 0.2698 0.7302 0.7500
O2 0.7302 0.2698 0.2500
F1 0.1679 0.3857 0.5498
F2 0.1679 0.3857 0.9502
F3 0.3857 0.1679 0.0498
F4 0.3857 0.1679 0.4502
F5 0.6143 0.8321 0.5498
F6 0.6143 0.8321 0.9502
F7 0.8321 0.6143 0.0498
F8 0.8321 0.6143 0.4502
```

Peak list (10 most intense, 2θ from 10° to 90°, in order of rising 2θ)
2theta  Rel. int.
21.97  10.3
24.30  25.2
25.14  100.0
26.14  19.7
35.72  10.1
35.99  34.2
43.27  21.5
45.52  18.5
51.61  12.6
58.43  10.8



Record 2
For Mg2InW3S8, the GGA-PBE geometry in the Materials Project gives the theoretical XRD peak list in this record (Cu Kα).
Neutral-atom scattering factors, no anomalous dispersion.

```
data_Mg2InW3S8
_space_group_name_H-M_alt 'P 1'
_space_group_IT_number 1
_cell_length_a 6.9868
_cell_length_b 7.0344
_cell_length_c 7.6833
_cell_angle_alpha 90.03
_cell_angle_beta 116.98
_cell_angle_gamma 119.77
loop_
_space_group_symop_operation_xyz
'x,y,z'
loop_
_atom_site_label
_atom_site_fract_x
_atom_site_fract_y
_atom_site_fract_z
Mg1 0.0000 0.0000 0.0000
Mg2 0.4847 0.7416 0.2266
In1 0.7864 0.3906 0.1812
W1 0.2800 0.9283 0.6315
W2 0.2873 0.3466 0.6342
W3 0.6944 0.3470 0.6336
S1 0.2150 0.6043 0.8257
S2 0.2470 0.1199 0.3734
S3 0.2817 0.1385 0.8756
S4 0.2854 0.6385 0.4373
S5 0.7316 0.1379 0.8743
S6 0.7376 0.5950 0.8803
S7 0.7913 0.6387 0.4373
S8 0.7939 0.1481 0.4384
```

Peak list (10 most intense, 2θ from 10° to 90°, in order of rising 2θ)
2theta  Rel. int.
13.52  100.0
15.17  36.4
15.30  74.4
27.02  36.8
28.90  21.0
29.80  22.2
34.71  98.3
43.91  23.2
47.02  20.5
47.72  27.8